Entry 1:
Structure and computed powder diffraction line list of Tb7AlS5 (DFT lattice parameters and positions (PBE); Cu Kα X-rays).
Intensities are scaled so that the largest is 100.

Structural model:
Unit cell a=13.0653 b=3.9178 c=23.5260 alpha=90.00 beta=90.03 gamma=90.00
Space group C2/m (No. 12)
Asymmetric unit:
Tb 0.0208 0.0000 0.2501
Tb 0.0924 0.5000 0.1117
Tb 0.0920 0.5000 0.3885
Tb 0.1368 0.0000 0.5357
Tb 0.1367 0.0000 0.9643
Tb 0.1811 0.5000 0.6747
Tb 0.1807 0.5000 0.8253
Al 0.1953 0.5000 0.2498
S 0.0000 0.5000 0.0000
S 0.0000 0.5000 0.5000
S 0.0469 0.0000 0.6401
S 0.0466 0.0000 0.8599
S 0.2261 0.0000 0.0706
S 0.2260 0.0000 0.4293

Most intense lines, 15 to 90 degrees two-theta, in order of rising 2θ:
index  d (Å)  2θ/deg  intensity
4 0 1  3.235  27.57  29
1 1 -4  3.164  28.21  65
2 0 7  2.989  29.90  100
3 1 2  2.827  31.65  90
3 1 -3  2.730  32.80  54
2 0 -8  2.682  33.41  29
6 0 5  1.974  45.97  45
0 2 0  1.959  46.35  32
0 0 14  1.681  54.61  32
2 2 7  1.638  56.14  34

Entry 2:
Structure and computed powder diffraction line list of Dy4Ga16Au3 (DFT lattice parameters and positions (PBE); Cu Kα X-rays).
Intensities are scaled so that the largest is 100.

Structural model:
Unit cell a=6.3637 b=6.3637 c=11.0797 alpha=90.00 beta=90.00 gamma=90.00
Space group P4/mmm (No. 123)
Asymmetric unit:
Dy 0.0000 0.5000 0.1873
Ga 0.0000 0.0000 0.2015
Ga 0.2062 0.2062 0.0000
Ga 0.2421 0.2421 0.3708
Ga 0.5000 0.5000 0.2394
Au 0.0000 0.5000 0.5000
Au 0.5000 0.5000 0.0000

Most intense lines, 15 to 90 degrees two-theta, in order of rising 2θ:
index  d (Å)  2θ/deg  intensity
1 1 0  4.500  19.73  25
1 1 1  4.170  21.31  28
2 0 0  3.182  28.04  19
1 1 3  2.855  31.33  68
2 0 3  2.411  37.30  100
2 2 0  2.250  40.07  92
2 0 4  2.089  43.31  31
3 1 3  1.767  51.73  29
4 0 0  1.591  57.97  26
4 2 3  1.328  70.98  25

Entry 3:
Structure and computed powder diffraction line list of Ac2Cd3Sn2 (DFT lattice parameters and positions (PBE); Cu Kα X-rays).
Intensities are scaled so that the largest is 100.

Structural model:
Unit cell a=11.7370 b=5.0057 c=7.4091 alpha=90.00 beta=109.21 gamma=90.00
Space group C2/m (No. 12)
Asymmetric unit:
Ac 0.1475 0.0000 0.2675
Cd 0.0000 0.5000 0.5000
Cd 0.0962 0.5000 0.9237
Sn 0.1543 0.0000 0.7490

Most intense lines, 15 to 90 degrees two-theta, in order of rising 2θ:
index  d (Å)  2θ/deg  intensity
1 1 1  3.605  24.70  17
0 0 2  3.498  25.46  16
3 1 -1  3.041  29.37  21
3 1 0  2.975  30.04  100
4 0 0  2.771  32.31  18
3 1 -2  2.635  34.02  53
1 1 2  2.610  34.35  36
2 0 2  2.597  34.53  17
0 2 0  2.503  35.88  39
3 3 0  1.521  60.91  17

Entry 4:
Structure and computed powder diffraction line list of CsRb2YCl6 (DFT lattice parameters and positions (PBE); Cu Kα X-rays).
Intensities are scaled so that the largest is 100.

Structural model:
Unit cell a=7.9120 b=8.3874 c=13.6948 alpha=90.00 beta=124.51 gamma=90.00
Space group P2_1/c (No. 14)
Asymmetric unit:
Cs 0.0000 0.0000 0.0000
Rb 0.2147 0.0699 0.7427
Y 0.5000 0.0000 0.5000
Cl 0.1737 0.1709 0.4423
Cl 0.2622 0.7396 0.4158
Cl 0.4221 0.0651 0.2874

Most intense lines, 15 to 90 degrees two-theta, in order of rising 2θ:
index  d (Å)  2θ/deg  intensity
0 2 0  4.194  21.19  36
1 1 1  4.049  21.95  100
1 1 -3  4.009  22.17  97
2 0 -2  3.956  22.48  33
2 2 -2  2.878  31.08  56
0 0 4  2.821  31.72  29
1 3 0  2.572  34.89  37
0 2 4  2.341  38.46  32
3 1 -1  2.309  39.00  47
2 0 -6  2.285  39.44  52